YBe3Hg: calculated PXRD pattern (Cu Kα (λ = 1.5418 Å)), based on a GGA-PBE-relaxed structure.
Lines closer than 0.1° are merged.

Cell and atoms:
```
data_YBe3Hg
_chemical_formula_sum 'Y1 Be3 Hg1'
_cell_length_a 4.4508
_cell_length_b 4.4508
_cell_length_c 4.4508
_cell_angle_alpha 90.00
_cell_angle_beta 90.00
_cell_angle_gamma 90.00
_space_group_name_H-M_alt 'P m -3 m'
_space_group_IT_number 221
_space_group_name_Hall '-P 4 2 3'
loop_
_atom_site_label
_atom_site_type_symbol
_atom_site_fract_x
_atom_site_fract_y
_atom_site_fract_z
Y1 Y 0.0000 0.0000 0.0000
Be1 Be 0.0000 0.5000 0.5000
Hg1 Hg 0.5000 0.5000 0.5000
```

Peak list (9 most intense, 2θ = 5–70°, sorted by position)
d = 4.451 Å, 2θ 19.95, I = 183; d = 3.147 Å, 2θ 28.36, I = 1000; d = 2.570 Å, 2θ 34.92, I = 40; d = 2.225 Å, 2θ 40.54, I = 227; d = 1.990 Å, 2θ 45.57, I = 95; d = 1.817 Å, 2θ 50.21, I = 419; d = 1.574 Å, 2θ 58.67, I = 153; d = 1.484 Å, 2θ 62.61, I = 48; d = 1.407 Å, 2θ 66.42, I = 181